Starting from the PBE geometry in the Materials Project, the X-ray diffraction stick pattern of Cu2Pd3Se4 was computed for CuKα.
Intensities are scaled so that the largest is 100.

Structure:
```
data_Cu2Pd3Se4
_chemical_formula_sum 'Cu4 Pd6 Se8'
_space_group_name_H-M_alt 'P 1'
_space_group_IT_number 1
_cell_length_a 5.7218
_cell_length_b 9.9932
_cell_length_c 6.3016
_cell_angle_alpha 90.00
_cell_angle_beta 115.48
_cell_angle_gamma 90.00
loop_
_space_group_symop_operation_xyz
'x,y,z'
loop_
_atom_site_label
_atom_site_fract_x
_atom_site_fract_y
_atom_site_fract_z
Cu1 0.1177 0.1929 0.4836
Cu2 0.1177 0.3071 0.9836
Cu3 0.8823 0.6929 0.0164
Cu4 0.8823 0.8071 0.5164
Pd1 0.2397 0.6284 0.4991
Pd2 0.2397 0.8716 0.9991
Pd3 0.5000 0.0000 0.5000
Pd4 0.5000 0.5000 0.0000
Pd5 0.7603 0.1284 0.0009
Pd6 0.7603 0.3716 0.5009
Se1 0.0298 0.5552 0.7602
Se2 0.0298 0.9448 0.2602
Se3 0.4867 0.6871 0.2656
Se4 0.4867 0.8129 0.7656
Se5 0.5133 0.1871 0.2344
Se6 0.5133 0.3129 0.7344
Se7 0.9702 0.0552 0.7398
Se8 0.9702 0.4448 0.2398
```

Peak list (6 most intense, 2θ from 15° to 90°, low angle first)
33.25 deg, 2.695 Å, rel. 100
33.85 deg, 2.648 Å, rel. 66
35.50 deg, 2.529 Å, rel. 33
39.39 deg, 2.287 Å, rel. 29
46.27 deg, 1.962 Å, rel. 31
47.03 deg, 1.932 Å, rel. 40

Starting from the PBE geometry in the Materials Project, the X-ray diffraction stick pattern of Nd3AlSi5N10O was computed for CuKα.
Intensities are scaled so that the largest is 100.

Structure:
```
data_Nd3AlSi5N10O
_chemical_formula_sum 'Nd6 Al2 Si10 N20 O2'
_space_group_name_H-M_alt 'P 1'
_space_group_IT_number 1
_cell_length_a 4.9303
_cell_length_b 10.2101
_cell_length_c 10.2001
_cell_angle_alpha 90.00
_cell_angle_beta 90.25
_cell_angle_gamma 90.00
loop_
_space_group_symop_operation_xyz
'x,y,z'
loop_
_atom_site_label
_atom_site_fract_x
_atom_site_fract_y
_atom_site_fract_z
Nd1 0.0000 0.0579 0.0000
Nd2 0.0000 0.9421 0.5000
Nd3 0.0140 0.4328 0.6210
Nd4 0.0140 0.5672 0.1210
Nd5 0.9950 0.2509 0.3160
Nd6 0.9950 0.7491 0.8160
Al1 0.5473 0.1800 0.5289
Al2 0.5473 0.8200 0.0289
Si1 0.0580 0.1311 0.6973
Si2 0.0580 0.8689 0.1973
Si3 0.0623 0.3648 0.9319
Si4 0.0623 0.6352 0.4319
Si5 0.5523 0.3248 0.1023
Si6 0.5523 0.4672 0.3844
Si7 0.5523 0.5328 0.8844
Si8 0.5523 0.6752 0.6023
Si9 0.5556 0.0388 0.2410
Si10 0.5556 0.9612 0.7410
N1 0.1731 0.1887 0.5507
N2 0.1731 0.8113 0.0507
N3 0.2005 0.4899 0.3802
N4 0.2005 0.5101 0.8802
N5 0.2017 0.3206 0.0796
N6 0.2017 0.6794 0.5796
N7 0.2049 0.0153 0.2425
N8 0.2049 0.9847 0.7425
N9 0.6619 0.4314 0.2268
N10 0.6619 0.5686 0.7268
N11 0.6632 0.1681 0.1377
N12 0.6632 0.8319 0.6377
N13 0.6650 0.3452 0.4867
N14 0.6650 0.6548 0.9867
N15 0.6713 0.0732 0.3947
N16 0.6713 0.9268 0.8947
N17 0.7167 0.3914 0.9590
N18 0.7167 0.6086 0.4590
N19 0.7190 0.0981 0.6738
N20 0.7190 0.9019 0.1738
O1 0.0903 0.2478 0.8160
O2 0.0903 0.7522 0.3160
```

Peak list (6 most intense, 2θ from 15° to 90°, low angle first)
17.99 deg, 4.930 Å, rel. 99
26.60 deg, 3.352 Å, rel. 49
30.70 deg, 2.912 Å, rel. 100
33.15 deg, 2.702 Å, rel. 77
36.30 deg, 2.475 Å, rel. 54
52.29 deg, 1.750 Å, rel. 47

Starting from the PBE geometry in the Materials Project, the X-ray diffraction stick pattern of FeS2 was computed for CuKα.
Intensities are scaled so that the largest is 100.

Structure:
```
data_FeS2
_chemical_formula_sum 'Fe2 S4'
_space_group_name_H-M_alt 'P 1'
_space_group_IT_number 1
_cell_length_a 6.0483
_cell_length_b 6.0483
_cell_length_c 6.0483
_cell_angle_alpha 128.32
_cell_angle_beta 128.32
_cell_angle_gamma 76.10
loop_
_space_group_symop_operation_xyz
'x,y,z'
loop_
_atom_site_label
_atom_site_fract_x
_atom_site_fract_y
_atom_site_fract_z
Fe1 0.0000 0.0000 0.0000
Fe2 0.7500 0.2500 0.5000
S1 0.0800 0.6250 0.9550
S2 0.3750 0.3300 0.4550
S3 0.6700 0.1250 0.0450
S4 0.8750 0.9200 0.5450
```

Peak list (6 most intense, 2θ from 15° to 90°, low angle first)
19.24 deg, 4.613 Å, rel. 100
30.45 deg, 2.936 Å, rel. 89
48.06 deg, 1.893 Å, rel. 17
48.86 deg, 1.864 Å, rel. 18
51.73 deg, 1.767 Å, rel. 33
58.67 deg, 1.574 Å, rel. 20

Starting from the PBE geometry in the Materials Project, the X-ray diffraction stick pattern of Dy11S16 was computed for CuKα.
Intensities are scaled so that the largest is 100.

Structure:
```
data_Dy11S16
_chemical_formula_sum 'Dy22 S32'
_space_group_name_H-M_alt 'P 1'
_space_group_IT_number 1
_cell_length_a 8.3380
_cell_length_b 16.7231
_cell_length_c 8.2834
_cell_angle_alpha 90.00
_cell_angle_beta 90.00
_cell_angle_gamma 90.00
loop_
_space_group_symop_operation_xyz
'x,y,z'
loop_
_atom_site_label
_atom_site_fract_x
_atom_site_fract_y
_atom_site_fract_z
Dy1 0.0000 0.0000 0.1287
Dy2 0.0047 0.7501 0.3793
Dy3 0.1242 0.6225 0.7670
Dy4 0.1402 0.1200 0.7572
Dy5 0.2441 0.4384 0.4808
Dy6 0.2503 0.3194 0.0001
Dy7 0.2497 0.8194 0.9999
Dy8 0.2559 0.9384 0.5192
Dy9 0.3598 0.6200 0.2428
Dy10 0.3758 0.1225 0.2330
Dy11 0.4953 0.2501 0.6207
Dy12 0.5000 0.5000 0.8713
Dy13 0.5047 0.7499 0.6207
Dy14 0.6242 0.8775 0.2330
Dy15 0.6402 0.3800 0.2428
Dy16 0.7441 0.0616 0.5192
Dy17 0.7503 0.1806 0.9999
Dy18 0.7497 0.6806 0.0001
Dy19 0.7559 0.5616 0.4808
Dy20 0.8598 0.8800 0.7572
Dy21 0.8758 0.3775 0.7670
Dy22 0.9953 0.2499 0.3793
S1 0.0614 0.0905 0.4390
S2 0.0715 0.6681 0.0789
S3 0.0735 0.1579 0.0754
S4 0.0764 0.5928 0.4438
S5 0.1739 0.2827 0.6833
S6 0.1736 0.9612 0.8332
S7 0.1846 0.4628 0.8025
S8 0.1853 0.7830 0.6803
S9 0.3147 0.2830 0.3197
S10 0.3154 0.9628 0.1975
S11 0.3264 0.4612 0.1668
S12 0.3261 0.7827 0.3167
S13 0.4236 0.0928 0.5562
S14 0.4265 0.6579 0.9246
S15 0.4285 0.1681 0.9211
S16 0.4386 0.5905 0.5610
S17 0.5614 0.4095 0.5610
S18 0.5715 0.8319 0.9211
S19 0.5735 0.3421 0.9246
S20 0.5764 0.9072 0.5562
S21 0.6739 0.2173 0.3167
S22 0.6736 0.5388 0.1668
S23 0.6846 0.0372 0.1975
S24 0.6853 0.7170 0.3197
S25 0.8147 0.2170 0.6803
S26 0.8154 0.5372 0.8025
S27 0.8264 0.0388 0.8332
S28 0.8261 0.7173 0.6833
S29 0.9236 0.4072 0.4438
S30 0.9265 0.8421 0.0754
S31 0.9285 0.3319 0.0789
S32 0.9386 0.9095 0.4390
```

Peak list (6 most intense, 2θ from 15° to 90°, low angle first)
26.18 deg, 3.404 Å, rel. 100
26.28 deg, 3.391 Å, rel. 57
33.95 deg, 2.641 Å, rel. 75
34.20 deg, 2.621 Å, rel. 41
40.45 deg, 2.230 Å, rel. 42
40.61 deg, 2.221 Å, rel. 41